Diffraction record for Ac5As4Cl. The powder diffractogram is simulated, not measured: it uses a cell relaxed with GGA-PBE and Cu Kα (λ = 1.5418 Å).
Kinematic intensities with the Lorentz-polarization factor, no thermal factor.

Structure:
```
data_Ac5As4Cl
_cell_length_a 4.528
_cell_length_b 6.368
_cell_length_c 22.580
_cell_angle_alpha 90.00
_cell_angle_beta 90.00
_cell_angle_gamma 90.00
_symmetry_space_group_name_H-M 'I m m m'
_symmetry_Int_Tables_number 71
_symmetry_space_group_name_Hall '-I 2 2'
loop_
_atom_site_label
_atom_site_type_symbol
_atom_site_fract_x
_atom_site_fract_y
_atom_site_fract_z
Ac1 Ac 0.000 0.000 0.000
Ac2 Ac 0.000 0.000 0.200
Ac3 Ac 0.000 0.000 0.393
As1 As 0.000 0.500 0.199
As2 As 0.000 0.500 0.403
Cl1 Cl 0.000 0.500 0.000
```

Top 10 peaks for 5 to 70 degrees two-theta, by angle:
2theta, Rel. int., index
24.14, 76, 1 1 0
27.90, 100, 1 0 5
28.02, 50, 0 2 0
39.82, 20, 2 0 0
39.95, 96, 1 2 5
47.15, 26, 2 1 5
47.30, 14, 1 3 0
49.44, 42, 2 2 0
65.31, 26, 2 2 10
65.49, 18, 1 4 5